For Li5Mg4Al, a cell relaxed with PBE gives the simulated X-ray powder pattern in this record (copper Kα).
Neutral-atom scattering factors, no anomalous dispersion.

Structure:
Cell: 6.780 6.780 6.780 Å, 98.21 98.21 135.58°
Atoms (fractional coordinates):
Li 0.000 0.000 0.000
Li 0.068 0.068 0.638
Li 0.068 0.430 0.000
Li 0.430 0.068 0.000
Li 0.430 0.430 0.362
Mg 0.050 0.732 0.318
Mg 0.414 0.732 0.682
Mg 0.732 0.050 0.318
Mg 0.732 0.414 0.682
Al 0.525 0.525 0.000

Peak list (10 most intense, 5° ≤ 2θ ≤ 70°, by angle)
Position (°2θ)	I/Imax
20.01	46
28.44	46
31.88	19
35.02	100
37.93	20
40.66	16
43.24	33
45.71	23
58.85	30
62.81	19

***

For Tl2FeCu3Te4, a cell relaxed with PBE gives the simulated X-ray powder pattern in this record (copper Kα).
Neutral-atom scattering factors, no anomalous dispersion.

Structure:
Cell: 8.175 8.175 5.785 Å, 90.00 90.00 138.22°
Atoms (fractional coordinates):
Tl 0.000 0.500 0.247
Tl 0.500 0.000 0.753
Fe 0.500 0.500 0.000
Cu 0.000 0.000 0.000
Cu 0.000 0.000 0.500
Cu 0.500 0.500 0.500
Te 0.144 0.362 0.753
Te 0.362 0.144 0.247
Te 0.638 0.856 0.247
Te 0.856 0.638 0.753

Peak list (10 most intense, 5° ≤ 2θ ≤ 70°, by angle)
Position (°2θ)	I/Imax
27.91	100
32.89	15
33.12	15
36.66	20
44.11	28
47.41	15
47.59	23
52.85	17
53.16	17
66.92	12